No. 1
Structure and theoretical X-ray diffraction stick pattern of Sr4Mn2Cu3Se4O4 (the PBE+U geometry in Alexandria; CuKα).
Lines closer than 0.1° are merged.

The 8 most intense peaks (10° ≤ 2θ ≤ 90°), low angle first:
- 2θ = 30.7°, intensity 37, hkl 2 0 0
- 2θ = 33.1°, intensity 100, hkl 1 5 1
- 2θ = 36.8°, intensity 53, hkl 2 4 0
- 2θ = 41.4°, intensity 21, hkl 1 7 1
- 2θ = 44.0°, intensity 57, hkl 2 0 2
- 2θ = 56.1°, intensity 42, hkl 3 5 1
- 2θ = 64.0°, intensity 18, hkl 4 0 0
- 2θ = 79.0°, intensity 14, hkl 2 12 2

Atomic structure:
Unit cell a=5.8215 b=17.9922 c=5.8201 alpha=90.00 beta=90.00 gamma=90.00
Space group C222 (No. 21)
Asymmetric unit:
Sr 0.2492 0.1551 0.2492 (multiplicity 8)
Mn 0.2500 0.2500 0.7504 (multiplicity 4)
Cu 0.0000 0.0000 0.0000 (multiplicity 2)
Cu 0.0000 0.0000 0.5000 (multiplicity 2)
Cu 0.0000 0.5000 0.0000 (multiplicity 2)
Se 0.2493 0.4203 0.7491 (multiplicity 8)
O 0.0000 0.2498 0.5000 (multiplicity 4)
O 0.0000 0.2518 0.0000 (multiplicity 4)

=====

No. 2
Structure and theoretical X-ray diffraction stick pattern of Sr4Mn2CuO9 (the PBE+U geometry in Alexandria; CuKα).
Lines closer than 0.1° are merged.

The 8 most intense peaks (10° ≤ 2θ ≤ 90°), low angle first:
- 2θ = 29.0°, intensity 98, hkl 2 1 -1
- 2θ = 29.1°, intensity 41, hkl -2 1 2
- 2θ = 31.8°, intensity 100, hkl 0 3 0
- 2θ = 32.0°, intensity 51, hkl 0 3 3
- 2θ = 43.6°, intensity 28, hkl 2 -2 2
- 2θ = 43.7°, intensity 35, hkl 2 4 2
- 2θ = 43.8°, intensity 35, hkl -2 4 2
- 2θ = 56.9°, intensity 25, hkl 0 3 6

Atomic structure:
Unit cell a=7.9311 b=9.7018 c=9.7111 alpha=60.30 beta=89.83 gamma=89.95
Space group P1 (No. 1)
Asymmetric unit:
Sr 0.0000 0.0000 0.0000 (multiplicity 1)
Sr 0.0000 0.3466 0.2954 (multiplicity 1)
Sr 0.2444 0.3274 0.6522 (multiplicity 1)
Sr 0.2465 0.0049 0.3011 (multiplicity 1)
Sr 0.2500 0.6589 0.9781 (multiplicity 1)
Sr 0.4892 0.3021 0.3131 (multiplicity 1)
Sr 0.4978 0.0175 0.9567 (multiplicity 1)
Sr 0.4982 0.6628 0.6675 (multiplicity 1)
Sr 0.7410 0.6921 0.9795 (multiplicity 1)
Sr 0.7464 0.9717 0.3323 (multiplicity 1)
Sr 0.7517 0.3253 0.6262 (multiplicity 1)
Sr 0.9969 0.6361 0.6391 (multiplicity 1)
Mn 0.0821 0.3344 0.9694 (multiplicity 1)
Mn 0.1744 0.6746 0.2996 (multiplicity 1)
Mn 0.3202 0.0016 0.6345 (multiplicity 1)
Mn 0.4115 0.3347 0.9666 (multiplicity 1)
Mn 0.6528 0.0004 0.6352 (multiplicity 1)
Mn 0.8419 0.6698 0.3036 (multiplicity 1)
Cu 0.5077 0.6047 0.3649 (multiplicity 1)
Cu 0.7468 0.3320 0.0359 (multiplicity 1)
Cu 0.9866 0.9395 0.7019 (multiplicity 1)
O 0.0052 0.8104 0.3299 (multiplicity 1)
O 0.0055 0.6768 0.1458 (multiplicity 1)
O 0.0071 0.5034 0.4514 (multiplicity 1)
O 0.1738 0.0182 0.7792 (multiplicity 1)
O 0.1754 0.8380 0.6515 (multiplicity 1)
O 0.2137 0.1598 0.4589 (multiplicity 1)
O 0.2458 0.3385 0.1217 (multiplicity 1)
O 0.2457 0.4907 0.8231 (multiplicity 1)
O 0.2483 0.1818 0.9769 (multiplicity 1)
O 0.2807 0.8504 0.1414 (multiplicity 1)
O 0.3171 0.6582 0.4633 (multiplicity 1)
O 0.3217 0.5307 0.2819 (multiplicity 1)
O 0.4863 0.8481 0.8058 (multiplicity 1)
O 0.4889 0.1544 0.6300 (multiplicity 1)
O 0.4889 0.9721 0.4970 (multiplicity 1)
O 0.5234 0.3397 0.7938 (multiplicity 1)
O 0.5548 0.1743 0.1251 (multiplicity 1)
O 0.5560 0.4878 0.9772 (multiplicity 1)
O 0.6969 0.5187 0.2917 (multiplicity 1)
O 0.6999 0.6496 0.4738 (multiplicity 1)
O 0.7241 0.8461 0.1456 (multiplicity 1)
O 0.7692 0.1589 0.4600 (multiplicity 1)
O 0.7958 0.0126 0.7875 (multiplicity 1)
O 0.7960 0.8308 0.6557 (multiplicity 1)
O 0.9345 0.4912 0.9696 (multiplicity 1)
O 0.9406 0.1784 0.1346 (multiplicity 1)
O 0.9700 0.3251 0.8039 (multiplicity 1)

=====

No. 3
Structure and theoretical X-ray diffraction stick pattern of Sr2MnCu3O6 (the PBE+U geometry in Alexandria; CuKα).
Lines closer than 0.1° are merged.

The 8 most intense peaks (10° ≤ 2θ ≤ 90°), low angle first:
- 2θ = 28.4°, intensity 24, hkl 1 0 2
- 2θ = 33.3°, intensity 100, hkl 1 0 3
- 2θ = 33.9°, intensity 69, hkl 1 1 0
- 2θ = 38.9°, intensity 15, hkl 0 0 5
- 2θ = 39.3°, intensity 26, hkl 1 0 4
- 2θ = 48.6°, intensity 41, hkl 2 0 0
- 2θ = 60.3°, intensity 35, hkl 2 1 3
- 2θ = 64.0°, intensity 12, hkl 2 0 5

Atomic structure:
Unit cell a=3.7439 b=3.7439 c=11.5764 alpha=90.00 beta=90.00 gamma=90.00
Space group P4/mmm (No. 123)
Asymmetric unit:
Sr 0.0000 0.0000 0.2039 (multiplicity 2)
Mn 0.0000 0.0000 0.5000 (multiplicity 1)
Cu 0.5000 0.5000 0.0000 (multiplicity 1)
Cu 0.5000 0.5000 0.3672 (multiplicity 2)
O 0.0000 0.5000 0.3806 (multiplicity 4)
O 0.5000 0.5000 0.1566 (multiplicity 2)

=====

No. 4
Structure and theoretical X-ray diffraction stick pattern of Mn3Cu3Te2O16 (the PBE+U geometry in Alexandria; CuKα).
Lines closer than 0.1° are merged.

The 8 most intense peaks (10° ≤ 2θ ≤ 90°), low angle first:
- 2θ = 18.9°, intensity 40, hkl 2 0 -1
- 2θ = 19.7°, intensity 100, hkl 1 1 -1
- 2θ = 20.2°, intensity 44, hkl 2 0 1
- 2θ = 20.3°, intensity 96, hkl 1 1 1
- 2θ = 34.7°, intensity 41, hkl 3 1 -2
- 2θ = 36.5°, intensity 48, hkl 4 0 1
- 2θ = 36.9°, intensity 40, hkl 3 1 2
- 2θ = 62.3°, intensity 40, hkl 6 2 0

Atomic structure:
Unit cell a=10.4596 b=5.7869 c=9.3090 alpha=90.00 beta=94.39 gamma=90.00
Space group Cm (No. 8)
Asymmetric unit:
Mn 0.0000 0.0000 0.0000 (multiplicity 2)
Mn 0.4195 0.2483 0.4959 (multiplicity 4)
Cu 0.1651 0.5000 0.4964 (multiplicity 2)
Cu 0.2498 0.2478 0.9957 (multiplicity 4)
Te 0.0098 0.5000 0.7746 (multiplicity 2)
Te 0.1584 0.0000 0.2723 (multiplicity 2)
O 0.0014 0.0000 0.3926 (multiplicity 2)
O 0.0677 0.2188 0.1413 (multiplicity 4)
O 0.0689 0.2706 0.6307 (multiplicity 4)
O 0.1592 0.0000 0.9085 (multiplicity 2)
O 0.1805 0.5000 0.8747 (multiplicity 2)
O 0.2482 0.2457 0.3812 (multiplicity 4)
O 0.3000 0.0000 0.1340 (multiplicity 2)
O 0.3379 0.5000 0.0833 (multiplicity 2)
O 0.3407 0.5000 0.5876 (multiplicity 2)
O 0.3585 0.0000 0.6190 (multiplicity 2)
O 0.4327 0.2414 0.8778 (multiplicity 4)
O 0.4922 0.0000 0.3954 (multiplicity 2)

=====

No. 5
Structure and theoretical X-ray diffraction stick pattern of UMnCu2O6 (the PBE+U geometry in Alexandria; CuKα).
Lines closer than 0.1° are merged.

The 8 most intense peaks (10° ≤ 2θ ≤ 90°), low angle first:
- 2θ = 23.0°, intensity 54, hkl 1 0 -1
- 2θ = 30.6°, intensity 100, hkl 1 0 1
- 2θ = 31.2°, intensity 88, hkl 1 1 -1
- 2θ = 31.5°, intensity 88, hkl 0 1 2
- 2θ = 33.3°, intensity 67, hkl -1 1 1
- 2θ = 33.8°, intensity 58, hkl 1 2 1
- 2θ = 34.1°, intensity 57, hkl 2 1 0
- 2θ = 47.1°, intensity 65, hkl 2 2 2

Atomic structure:
Unit cell a=5.2598 b=5.3091 c=5.7226 alpha=63.13 beta=89.75 gamma=61.36
Space group P-1 (No. 2)
Asymmetric unit:
U 0.0000 0.0000 0.0000 (multiplicity 1)
Mn 0.5000 0.0000 0.5000 (multiplicity 1)
Cu 0.2612 0.5008 0.7424 (multiplicity 2)
O 0.0909 0.5281 0.2392 (multiplicity 2)
O 0.2635 0.8593 0.7427 (multiplicity 2)
O 0.3928 0.8610 0.2648 (multiplicity 2)

=====

No. 6
Structure and theoretical X-ray diffraction stick pattern of MnV4CuO12 (the PBE+U geometry in Alexandria; CuKα).
Lines closer than 0.1° are merged.

The 8 most intense peaks (10° ≤ 2θ ≤ 90°), low angle first:
- 2θ = 18.3°, intensity 42, hkl 1 1 -1
- 2θ = 19.6°, intensity 52, hkl 0 2 0
- 2θ = 22.9°, intensity 30, hkl 1 1 1
- 2θ = 28.3°, intensity 100, hkl 2 2 -1
- 2θ = 29.9°, intensity 67, hkl 3 1 0
- 2θ = 31.6°, intensity 61, hkl 0 0 2
- 2θ = 34.5°, intensity 28, hkl 2 2 1
- 2θ = 45.1°, intensity 25, hkl 2 4 -1

Atomic structure:
Unit cell a=10.0254 b=9.0415 c=5.9835 alpha=90.00 beta=108.74 gamma=90.00
Space group C2 (No. 5)
Asymmetric unit:
Mn 0.0000 0.0000 0.0000 (multiplicity 2)
V 0.1990 0.3305 0.9867 (multiplicity 4)
V 0.2026 0.5083 0.4895 (multiplicity 4)
Cu 0.0000 0.8298 0.5000 (multiplicity 2)
O 0.1155 0.9921 0.4065 (multiplicity 4)
O 0.1225 0.8358 0.9141 (multiplicity 4)
O 0.1384 0.4086 0.6930 (multiplicity 4)
O 0.1392 0.4310 0.1983 (multiplicity 4)
O 0.1459 0.1535 0.9754 (multiplicity 4)
O 0.1458 0.6850 0.4828 (multiplicity 4)